For Li2CrSi2O6, the PBE+U geometry in the Materials Project gives the computed powder X-ray diffraction pattern in this record (CuKα).

Atomic structure:
```
data_Li2CrSi2O6
_cell_length_a 6.0375
_cell_length_b 10.0464
_cell_length_c 9.1255
_cell_angle_alpha 90.00
_cell_angle_beta 90.69
_cell_angle_gamma 90.00
_symmetry_space_group_name_H-M 'C 1 2/c 1'
_symmetry_Int_Tables_number 15
_symmetry_space_group_name_Hall '-C 2yc'
loop_
_atom_site_label
_atom_site_type_symbol
_atom_site_fract_x
_atom_site_fract_y
_atom_site_fract_z
_atom_site_occupancy
Li1 Li 0.0500 0.1404 0.1139 1
Cr1 Cr 0.0000 0.2561 0.7500 1
Si1 Si 0.1637 0.4646 0.1385 1
O1 O 0.0000 0.3780 0.2500 1
O2 O 0.0000 0.5000 0.0000 1
O3 O 0.1335 0.1311 0.9084 1
O4 O 0.2478 0.1022 0.2835 1
```

Most intense lines, 10 to 90 degrees two-theta, in order of rising 2θ:
Position (°2θ)	d/Å	I_rel	h k l
17.14	5.175	58	1 1 0
19.46	4.562	88	0 0 2
19.63	4.521	100	1 1 -1
25.90	3.440	55	1 1 -2
26.17	3.405	87	1 1 2
26.39	3.377	33	0 2 2
32.16	2.784	78	1 3 1
34.67	2.587	30	2 2 0
39.88	2.261	64	2 2 -2
43.56	2.078	22	0 2 4